Record 1
Calculated XRD peak list
Compound: Zr5Os
Radiation: CuKα
Structure: a DFT-relaxed cell (PBE, Alexandria)
Kinematic intensities with the Lorentz-polarization factor, no thermal factor.

```
data_Zr5Os
_cell_length_a 3.2720
_cell_length_b 3.2720
_cell_length_c 11.9545
_cell_angle_alpha 90.00
_cell_angle_beta 90.00
_cell_angle_gamma 90.00
_space_group_name_H-M_alt 'P 4/m m m'
_space_group_IT_number 123
_space_group_name_Hall '-P 4 2'
loop_
_atom_site_label
_atom_site_type_symbol
_atom_site_fract_x
_atom_site_fract_y
_atom_site_fract_z
Zr1 Zr 0.0000 0.0000 0.0000
Zr2 Zr 0.0000 0.0000 0.3627
Zr3 Zr 0.5000 0.5000 0.1831
Os1 Os 0.5000 0.5000 0.5000
```

The 8 most intense peaks (2θ = 10–80°), most intense first:
Position (°2θ)	d_spacing	I_rel	hkl
35.50	2.529	100	1 0 3
38.93	2.314	43	1 1 0
68.28	1.374	32	2 1 3
56.23	1.636	15	2 0 0
61.41	1.510	14	1 1 6
40.90	2.207	11	1 0 4
45.53	1.992	9	0 0 6
14.82	5.977	8	0 0 2

---

Record 2
Calculated XRD peak list
Compound: Pa4P3
Radiation: CuKα
Structure: a DFT-relaxed cell (PBE, Alexandria)
Kinematic intensities with the Lorentz-polarization factor, no thermal factor.

```
data_Pa4P3
_cell_length_a 8.3652
_cell_length_b 8.3652
_cell_length_c 8.3652
_cell_angle_alpha 90.00
_cell_angle_beta 90.00
_cell_angle_gamma 90.00
_space_group_name_H-M_alt 'I -4 3 d'
_space_group_IT_number 220
_space_group_name_Hall 'I -4bd 2c 3'
loop_
_atom_site_label
_atom_site_type_symbol
_atom_site_fract_x
_atom_site_fract_y
_atom_site_fract_z
Pa1 Pa 0.0721 0.0721 0.0721
P1 P 0.0000 0.2500 0.3750
```

The 8 most intense peaks (2θ = 10–80°), most intense first:
Position (°2θ)	d_spacing	I_rel	hkl
33.89	2.645	100	3 1 0
40.34	2.236	78	3 2 1
26.09	3.415	76	2 1 1
56.06	1.641	56	4 3 1
53.68	1.708	36	4 2 2
30.22	2.958	28	2 2 0
69.24	1.357	24	6 1 1
73.35	1.291	20	5 4 1

---

Record 3
Calculated XRD peak list
Compound: PaP4
Radiation: CuKα
Structure: a DFT-relaxed cell (PBE, Alexandria)
Kinematic intensities with the Lorentz-polarization factor, no thermal factor.

```
data_PaP4
_cell_length_a 5.2533
_cell_length_b 5.2533
_cell_length_c 5.2533
_cell_angle_alpha 90.00
_cell_angle_beta 90.00
_cell_angle_gamma 90.00
_space_group_name_H-M_alt 'P m -3 m'
_space_group_IT_number 221
_space_group_name_Hall '-P 4 2 3'
loop_
_atom_site_label
_atom_site_type_symbol
_atom_site_fract_x
_atom_site_fract_y
_atom_site_fract_z
Pa1 Pa 0.0000 0.0000 0.0000
P1 P 0.0000 0.0000 0.5000
P2 P 0.5000 0.5000 0.5000
```

The 8 most intense peaks (2θ = 10–80°), most intense first:
Position (°2θ)	d_spacing	I_rel	hkl
16.88	5.253	100	1 0 0
23.96	3.715	89	1 1 0
38.31	2.349	54	2 1 0
34.14	2.627	44	2 0 0
42.13	2.145	42	2 1 1
49.05	1.857	31	2 2 0
52.24	1.751	28	3 0 0
66.61	1.404	22	3 2 1

---

Record 4
Calculated XRD peak list
Compound: Pa5P
Radiation: CuKα
Structure: a DFT-relaxed cell (PBE, Alexandria)
Kinematic intensities with the Lorentz-polarization factor, no thermal factor.

```
data_Pa5P
_cell_length_a 4.5454
_cell_length_b 13.5016
_cell_length_c 4.4042
_cell_angle_alpha 90.00
_cell_angle_beta 90.00
_cell_angle_gamma 90.00
_space_group_name_H-M_alt 'C m m m'
_space_group_IT_number 65
_space_group_name_Hall '-C 2 2'
loop_
_atom_site_label
_atom_site_type_symbol
_atom_site_fract_x
_atom_site_fract_y
_atom_site_fract_z
Pa1 Pa 0.0000 0.0000 0.0000
Pa2 Pa 0.0000 0.1562 0.5000
Pa3 Pa 0.0000 0.3425 0.0000
P1 P 0.0000 0.5000 0.5000
```

The 8 most intense peaks (2θ = 10–80°), most intense first:
Position (°2θ)	d_spacing	I_rel	hkl
34.66	2.588	100	1 3 1
39.66	2.273	18	2 0 0
40.98	2.202	16	0 0 2
40.07	2.250	16	0 6 0
68.76	1.365	14	3 3 1
70.59	1.334	13	1 3 3
58.35	1.582	12	2 0 2
57.65	1.599	12	2 6 0

---

Record 5
Calculated XRD peak list
Compound: Pm2PaP3
Radiation: CuKα
Structure: a DFT-relaxed cell (PBE, Alexandria)
Kinematic intensities with the Lorentz-polarization factor, no thermal factor.

```
data_Pm2PaP3
_cell_length_a 8.1429
_cell_length_b 11.5054
_cell_length_c 24.3912
_cell_angle_alpha 90.00
_cell_angle_beta 90.00
_cell_angle_gamma 90.00
_space_group_name_H-M_alt 'F d d d'
_space_group_IT_number 70
loop_
_space_group_symop_operation_xyz
'x,y,z'
'-x,-y,-z'
'-x+1/4,-y+1/4,z'
'x+1/4,y+1/4,-z'
'x,-y+1/4,-z+1/4'
'-x,y+1/4,z+1/4'
'-x+1/4,y,-z+1/4'
'x+1/4,-y,z+1/4'
'x,y+1/2,z+1/2'
'-x,-y+1/2,-z+1/2'
'-x+1/4,-y+3/4,z+1/2'
'x+1/4,y+3/4,-z+1/2'
'x,-y+3/4,-z+3/4'
'-x,y+3/4,z+3/4'
'-x+1/4,y+1/2,-z+3/4'
'x+1/4,-y+1/2,z+3/4'
'x+1/2,y,z+1/2'
'-x+1/2,-y,-z+1/2'
'-x+3/4,-y+1/4,z+1/2'
'x+3/4,y+1/4,-z+1/2'
'x+1/2,-y+1/4,-z+3/4'
'-x+1/2,y+1/4,z+3/4'
'-x+3/4,y,-z+3/4'
'x+3/4,-y,z+3/4'
'x+1/2,y+1/2,z'
'-x+1/2,-y+1/2,-z'
'-x+3/4,-y+3/4,z'
'x+3/4,y+3/4,-z'
'x+1/2,-y+3/4,-z+1/4'
'-x+1/2,y+3/4,z+1/4'
'-x+3/4,y+1/2,-z+1/4'
'x+3/4,-y+1/2,z+1/4'
loop_
_atom_site_label
_atom_site_type_symbol
_atom_site_fract_x
_atom_site_fract_y
_atom_site_fract_z
Pm1 Pm 0.1250 0.1250 0.0428
Pm2 Pm 0.1250 0.1250 0.3736
Pa1 Pa 0.1250 0.1250 0.5415
P1 P 0.1129 0.3750 0.8750
P2 P 0.1188 0.3687 0.7108
```

The 8 most intense peaks (2θ = 10–80°), most intense first:
Position (°2θ)	d_spacing	I_rel	hkl
31.09	2.877	100	2 0 6
26.84	3.322	93	2 2 0
44.54	2.034	74	4 0 0
52.77	1.735	46	4 2 6
73.62	1.287	28	2 8 6
55.31	1.661	26	4 4 0
71.47	1.320	16	6 2 0
64.82	1.438	12	0 8 0

---

Record 6
Calculated XRD peak list
Compound: PmPaP2Rh5
Radiation: CuKα
Structure: a DFT-relaxed cell (PBE, Alexandria)
Kinematic intensities with the Lorentz-polarization factor, no thermal factor.

```
data_PmPaP2Rh5
_cell_length_a 4.0491
_cell_length_b 4.0491
_cell_length_c 10.6323
_cell_angle_alpha 90.00
_cell_angle_beta 90.00
_cell_angle_gamma 90.00
_space_group_name_H-M_alt 'P 4/m m m'
_space_group_IT_number 123
_space_group_name_Hall '-P 4 2'
loop_
_atom_site_label
_atom_site_type_symbol
_atom_site_fract_x
_atom_site_fract_y
_atom_site_fract_z
Pm1 Pm 0.0000 0.0000 0.0000
Pa1 Pa 0.0000 0.0000 0.5000
P1 P 0.5000 0.5000 0.2130
Rh1 Rh 0.0000 0.5000 0.3162
Rh2 Rh 0.5000 0.5000 0.0000
```

The 8 most intense peaks (2θ = 10–80°), most intense first:
Position (°2θ)	d_spacing	I_rel	hkl
35.62	2.521	100	1 1 2
44.76	2.025	48	2 0 0
27.69	3.221	40	1 0 2
40.53	2.226	31	1 1 3
46.63	1.948	29	1 1 4
23.51	3.784	23	1 0 1
76.53	1.245	22	3 1 2
79.54	1.205	21	1 1 8

---

Record 7
Calculated XRD peak list
Compound: PmUPa2P4
Radiation: CuKα
Structure: a DFT-relaxed cell (PBE, Alexandria)
Kinematic intensities with the Lorentz-polarization factor, no thermal factor.

```
data_PmUPa2P4
_cell_length_a 5.6438
_cell_length_b 5.6438
_cell_length_c 11.2980
_cell_angle_alpha 90.00
_cell_angle_beta 90.00
_cell_angle_gamma 90.00
_space_group_name_H-M_alt 'I -4 m 2'
_space_group_IT_number 119
_space_group_name_Hall 'I -4 -2'
loop_
_atom_site_label
_atom_site_type_symbol
_atom_site_fract_x
_atom_site_fract_y
_atom_site_fract_z
Pm1 Pm 0.0000 0.0000 0.0000
U1 U 0.0000 0.5000 0.7500
Pa1 Pa 0.0000 0.0000 0.5000
Pa2 Pa 0.0000 0.5000 0.2500
P1 P 0.0000 0.0000 0.2537
P2 P 0.0000 0.5000 0.5008
```

The 8 most intense peaks (2θ = 10–80°), most intense first:
Position (°2θ)	d_spacing	I_rel	hkl
27.36	3.259	100	1 1 2
31.70	2.823	96	2 0 0
45.44	1.996	71	2 2 0
53.86	1.702	50	3 1 2
75.28	1.262	33	4 2 0
56.46	1.630	25	2 2 4
73.06	1.295	21	3 3 2
66.22	1.411	12	4 0 0

---

Record 8
Calculated XRD peak list
Compound: PrPuPa2P4
Radiation: CuKα
Structure: a DFT-relaxed cell (PBE, Alexandria)
Kinematic intensities with the Lorentz-polarization factor, no thermal factor.

```
data_PrPuPa2P4
_cell_length_a 6.9885
_cell_length_b 4.0325
_cell_length_c 6.9888
_cell_angle_alpha 90.00
_cell_angle_beta 109.50
_cell_angle_gamma 90.00
_space_group_name_H-M_alt 'P 1 2/m 1'
_space_group_IT_number 10
loop_
_space_group_symop_operation_xyz
'x,y,z'
'-x,-y,-z'
'-x,y,-z'
'x,-y,z'
loop_
_atom_site_label
_atom_site_type_symbol
_atom_site_fract_x
_atom_site_fract_y
_atom_site_fract_z
Pr1 Pr 0.0000 0.0000 0.0000
Pu1 Pu 0.5000 0.5000 0.0000
Pa1 Pa 0.0000 0.5000 0.5000
Pa2 Pa 0.5000 0.0000 0.5000
P1 P 0.2523 0.0000 0.7409
P2 P 0.2598 0.5000 0.2646
```

The 8 most intense peaks (2θ = 10–80°), most intense first:
Position (°2θ)	d_spacing	I_rel	hkl
27.07	3.294	100	0 0 2
31.36	2.852	96	1 1 1
44.94	2.017	71	0 2 0
53.26	1.720	50	1 1 3
74.36	1.276	33	1 3 1
55.83	1.647	25	2 2 -2
72.18	1.309	21	2 0 4
65.44	1.426	12	2 2 2

---

Record 9
Calculated XRD peak list
Compound: PaP2Ru2Pt
Radiation: CuKα
Structure: a DFT-relaxed cell (PBE, Alexandria)
Kinematic intensities with the Lorentz-polarization factor, no thermal factor.

```
data_PaP2Ru2Pt
_cell_length_a 3.7747
_cell_length_b 8.4979
_cell_length_c 6.0652
_cell_angle_alpha 90.00
_cell_angle_beta 90.00
_cell_angle_gamma 90.00
_space_group_name_H-M_alt 'P m c 21'
_space_group_IT_number 26
loop_
_space_group_symop_operation_xyz
'x,y,z'
'-x,-y,z+1/2'
'-x,y,z'
'x,-y,z+1/2'
loop_
_atom_site_label
_atom_site_type_symbol
_atom_site_fract_x
_atom_site_fract_y
_atom_site_fract_z
Pa1 Pa 0.0000 0.0718 0.0000
P1 P 0.0000 0.4003 0.7761
P2 P 0.5000 0.2048 0.2842
Ru1 Ru 0.0000 0.3422 0.3914
Ru2 Ru 0.5000 0.4183 0.0355
Pt1 Pt 0.5000 0.1853 0.6806
```

The 8 most intense peaks (2θ = 10–80°), most intense first:
Position (°2θ)	d_spacing	I_rel	hkl
35.07	2.559	100	1 2 1
39.57	2.278	55	1 1 2
38.06	2.364	39	1 0 2
34.96	2.567	37	0 3 1
48.22	1.887	29	2 0 0
10.41	8.498	29	0 1 0
39.79	2.266	29	1 3 0
68.75	1.365	26	1 4 3

---

Record 10
Calculated XRD peak list
Compound: Pa4PPtS2
Radiation: CuKα
Structure: a DFT-relaxed cell (PBE, Alexandria)
Kinematic intensities with the Lorentz-polarization factor, no thermal factor.

```
data_Pa4PPtS2
_cell_length_a 6.9054
_cell_length_b 3.8210
_cell_length_c 7.0904
_cell_angle_alpha 90.00
_cell_angle_beta 108.52
_cell_angle_gamma 90.00
_space_group_name_H-M_alt 'P 1 2/m 1'
_space_group_IT_number 10
loop_
_space_group_symop_operation_xyz
'x,y,z'
'-x,-y,-z'
'-x,y,-z'
'x,-y,z'
loop_
_atom_site_label
_atom_site_type_symbol
_atom_site_fract_x
_atom_site_fract_y
_atom_site_fract_z
Pa1 Pa 0.2443 0.0000 0.2550
Pa2 Pa 0.2480 0.5000 0.7470
P1 P 0.5000 0.5000 0.5000
Pt1 Pt 0.5000 0.0000 0.0000
S1 S 0.0000 0.0000 0.5000
S2 S 0.0000 0.5000 0.0000
```

The 8 most intense peaks (2θ = 10–80°), most intense first:
Position (°2θ)	d_spacing	I_rel	hkl
32.07	2.791	100	1 1 1
31.51	2.839	52	2 0 -2
45.12	2.010	39	1 1 -3
46.03	1.972	37	3 1 -1
28.15	3.170	36	1 1 -1
26.52	3.362	21	0 0 2
44.33	2.043	21	2 0 2
27.24	3.274	20	2 0 0

---

Record 11
Calculated XRD peak list
Compound: PuPaTeP
Radiation: CuKα
Structure: a DFT-relaxed cell (PBE, Alexandria)
Kinematic intensities with the Lorentz-polarization factor, no thermal factor.

```
data_PuPaTeP
_cell_length_a 4.0713
_cell_length_b 4.0713
_cell_length_c 21.8040
_cell_angle_alpha 90.00
_cell_angle_beta 90.00
_cell_angle_gamma 120.00
_space_group_name_H-M_alt 'R 3 m'
_space_group_IT_number 160
_space_group_name_Hall 'R 3 -2"'
loop_
_atom_site_label
_atom_site_type_symbol
_atom_site_fract_x
_atom_site_fract_y
_atom_site_fract_z
Pu1 Pu 0.0000 0.0000 0.0000
Pa1 Pa 0.0000 0.0000 0.1967
Te1 Te 0.0000 0.0000 0.7679
P1 P 0.0000 0.0000 0.5966
```

The 8 most intense peaks (2θ = 10–80°), most intense first:
Position (°2θ)	d_spacing	I_rel	hkl
32.66	2.742	100	0 1 5
30.19	2.961	60	1 0 4
25.59	3.481	52	1 0 1
44.51	2.036	50	1 1 0
59.29	1.559	22	1 1 9
56.29	1.634	22	2 0 5
49.13	1.854	21	1 0 10
74.44	1.274	19	1 2 5

---

Record 12
Calculated XRD peak list
Compound: PaRe2P2
Radiation: CuKα
Structure: a DFT-relaxed cell (PBE, Alexandria)
Kinematic intensities with the Lorentz-polarization factor, no thermal factor.

```
data_PaRe2P2
_cell_length_a 3.9489
_cell_length_b 22.0838
_cell_length_c 3.9774
_cell_angle_alpha 90.00
_cell_angle_beta 90.00
_cell_angle_gamma 90.00
_space_group_name_H-M_alt 'C m c m'
_space_group_IT_number 63
_space_group_name_Hall '-C 2c 2'
loop_
_atom_site_label
_atom_site_type_symbol
_atom_site_fract_x
_atom_site_fract_y
_atom_site_fract_z
Pa1 Pa 0.0000 0.1553 0.2500
Re1 Re 0.0000 0.0390 0.7500
Re2 Re 0.0000 0.4565 0.7500
P1 P 0.0000 0.2499 0.7500
P2 P 0.0000 0.3906 0.2500
```

The 8 most intense peaks (2θ = 10–80°), most intense first:
Position (°2θ)	d_spacing	I_rel	hkl
38.03	2.366	100	1 5 1
45.62	1.989	17	0 0 2
45.97	1.974	17	2 0 0
23.78	3.742	15	0 2 1
40.86	2.208	15	0 10 0
25.60	3.480	14	1 3 0
79.24	1.209	12	1 5 3
79.75	1.202	12	3 5 1

---

Please write out number 11 again, unchanged.
Calculated XRD peak list
Compound: PuPaTeP
Radiation: CuKα
Structure: a DFT-relaxed cell (PBE, Alexandria)
Kinematic intensities with the Lorentz-polarization factor, no thermal factor.

```
data_PuPaTeP
_cell_length_a 4.0713
_cell_length_b 4.0713
_cell_length_c 21.8040
_cell_angle_alpha 90.00
_cell_angle_beta 90.00
_cell_angle_gamma 120.00
_space_group_name_H-M_alt 'R 3 m'
_space_group_IT_number 160
_space_group_name_Hall 'R 3 -2"'
loop_
_atom_site_label
_atom_site_type_symbol
_atom_site_fract_x
_atom_site_fract_y
_atom_site_fract_z
Pu1 Pu 0.0000 0.0000 0.0000
Pa1 Pa 0.0000 0.0000 0.1967
Te1 Te 0.0000 0.0000 0.7679
P1 P 0.0000 0.0000 0.5966
```

The 8 most intense peaks (2θ = 10–80°), most intense first:
Position (°2θ)	d_spacing	I_rel	hkl
32.66	2.742	100	0 1 5
30.19	2.961	60	1 0 4
25.59	3.481	52	1 0 1
44.51	2.036	50	1 1 0
59.29	1.559	22	1 1 9
56.29	1.634	22	2 0 5
49.13	1.854	21	1 0 10
74.44	1.274	19	1 2 5